Entry 1:
PmMgPb3: theoretical X-ray powder pattern (CuKα), based on a DFT-relaxed cell (GGA-PBE, Alexandria).
Kinematic intensities with the Lorentz-polarization factor, no thermal factor.

Crystal structure
a = 7.5824 Å, b = 6.4364 Å, c = 12.2475 Å
α = 90.00°, β = 94.78°, γ = 90.00°
Fractional coordinates of all 20 atoms:
Pm 0.1363 0.1544 0.3613
Pm 0.1363 0.3456 0.8613
Pm 0.8637 0.6544 0.1387
Pm 0.8637 0.8456 0.6387
Mg 0.4422 0.7425 0.4703
Mg 0.4422 0.7575 0.9703
Mg 0.5578 0.2425 0.0297
Mg 0.5578 0.2575 0.5297
Pb 0.0660 0.6390 0.4006
Pb 0.0660 0.8610 0.9006
Pb 0.2620 0.0589 0.6304
Pb 0.2620 0.4411 0.1304
Pb 0.3860 0.5784 0.6967
Pb 0.3860 0.9216 0.1967
Pb 0.6140 0.0784 0.8033
Pb 0.6140 0.4216 0.3033
Pb 0.7380 0.5589 0.8696
Pb 0.7380 0.9411 0.3696
Pb 0.9340 0.1390 0.0994
Pb 0.9340 0.3610 0.5994

The 6 most intense peaks (2θ from 10° to 90°), in order of rising 2θ:
26.70 deg, d = 3.339 Å, rel. 32
28.84 deg, d = 3.096 Å, rel. 91
29.28 deg, d = 3.051 Å, rel. 69
30.67 deg, d = 2.915 Å, rel. 32
30.84 deg, d = 2.899 Å, rel. 100
38.17 deg, d = 2.358 Å, rel. 39

Entry 2:
GeBiPd: theoretical X-ray powder pattern (CuKα), based on a DFT-relaxed cell (GGA-PBE, Alexandria).
Kinematic intensities with the Lorentz-polarization factor, no thermal factor.

Crystal structure
a = 8.9015 Å, b = 4.0906 Å, c = 7.6236 Å
α = 90.00°, β = 97.17°, γ = 90.00°
Fractional coordinates of all 12 atoms:
Ge 0.1321 0.0000 0.4488
Ge 0.3679 0.5000 0.5512
Ge 0.6321 0.5000 0.4488
Ge 0.8679 0.0000 0.5512
Bi 0.1324 0.5000 0.8623
Bi 0.3676 0.0000 0.1377
Bi 0.6324 0.0000 0.8623
Bi 0.8676 0.5000 0.1377
Pd 0.1856 0.5000 0.2636
Pd 0.3144 0.0000 0.7364
Pd 0.6856 0.0000 0.2636
Pd 0.8144 0.5000 0.7364

The 6 most intense peaks (2θ from 10° to 90°), in order of rising 2θ:
23.97 deg, d = 3.712 Å, rel. 62
27.31 deg, d = 3.265 Å, rel. 75
32.91 deg, d = 2.721 Å, rel. 94
33.05 deg, d = 2.710 Å, rel. 90
38.34 deg, d = 2.348 Å, rel. 100
42.26 deg, d = 2.138 Å, rel. 75

Entry 3:
Pa2NbW: theoretical X-ray powder pattern (CuKα), based on a DFT-relaxed cell (GGA-PBE, Alexandria).
Kinematic intensities with the Lorentz-polarization factor, no thermal factor.

Crystal structure
a = 3.5044 Å, b = 3.5044 Å, c = 7.0788 Å
α = 90.00°, β = 90.00°, γ = 90.00°
Fractional coordinates of all 4 atoms:
Pa 0.0000 0.0000 0.2435
Pa 0.0000 0.0000 0.7565
Nb 0.5000 0.5000 0.5000
W 0.5000 0.5000 0.0000

The 6 most intense peaks (2θ from 10° to 90°), in order of rising 2θ:
36.07 deg, d = 2.490 Å, rel. 100
36.25 deg, d = 2.478 Å, rel. 50
52.20 deg, d = 1.752 Å, rel. 18
64.73 deg, d = 1.440 Å, rel. 18
65.09 deg, d = 1.433 Å, rel. 37
76.51 deg, d = 1.245 Å, rel. 11

Entry 4:
Mn6NbV5: theoretical X-ray powder pattern (CuKα), based on a DFT-relaxed cell (GGA-PBE, Alexandria).
Kinematic intensities with the Lorentz-polarization factor, no thermal factor.

Crystal structure
a = 6.5070 Å, b = 6.5070 Å, c = 5.8255 Å
α = 90.00°, β = 90.00°, γ = 143.14°
Fractional coordinates of all 12 atoms:
Mn 0.0000 0.0000 0.2422
Mn 0.0000 0.0000 0.7578
Mn 0.3303 0.6697 0.2459
Mn 0.3303 0.6697 0.7541
Mn 0.6697 0.3303 0.2459
Mn 0.6697 0.3303 0.7541
Nb 0.5000 0.5000 0.5000
V 0.1672 0.8328 0.0000
V 0.1699 0.8301 0.5000
V 0.5000 0.5000 0.0000
V 0.8301 0.1699 0.5000
V 0.8328 0.1672 0.0000

The 6 most intense peaks (2θ from 10° to 90°), in order of rising 2θ:
20.97 deg, d = 4.237 Å, rel. 1
27.51 deg, d = 3.243 Å, rel. 1
34.45 deg, d = 2.603 Å, rel. 1
44.00 deg, d = 2.058 Å, rel. 100
63.97 deg, d = 1.455 Å, rel. 15
80.90 deg, d = 1.188 Å, rel. 29

Entry 5:
NiTe2Rh: theoretical X-ray powder pattern (CuKα), based on a DFT-relaxed cell (GGA-PBE, Alexandria).
Kinematic intensities with the Lorentz-polarization factor, no thermal factor.

Crystal structure
a = 3.4667 Å, b = 3.4667 Å, c = 7.2882 Å
α = 90.00°, β = 90.00°, γ = 90.00°
Fractional coordinates of all 4 atoms:
Ni 0.0000 0.0000 0.0000
Te 0.0000 0.0000 0.3601
Te 0.5000 0.5000 0.8499
Rh 0.5000 0.5000 0.2056

The 6 most intense peaks (2θ from 10° to 90°), in order of rising 2θ:
12.14 deg, d = 7.288 Å, rel. 72
28.51 deg, d = 3.131 Å, rel. 49
35.75 deg, d = 2.512 Å, rel. 40
36.66 deg, d = 2.451 Å, rel. 99
45.60 deg, d = 1.990 Å, rel. 100
72.30 deg, d = 1.307 Å, rel. 49

Entry 6:
K3H8Ir: theoretical X-ray powder pattern (CuKα), based on a DFT-relaxed cell (GGA-PBE, Alexandria).
Kinematic intensities with the Lorentz-polarization factor, no thermal factor.

Crystal structure
a = 6.4741 Å, b = 6.4741 Å, c = 6.4741 Å
α = 129.36°, β = 129.36°, γ = 74.43°
Fractional coordinates of all 12 atoms:
K 0.0000 0.0000 0.0000
K 0.2500 0.7500 0.5000
K 0.7500 0.2500 0.5000
H 0.2235 0.2235 0.6384
H 0.2235 0.5851 0.0000
H 0.4149 0.4149 0.6384
H 0.4149 0.7765 0.0000
H 0.5851 0.2235 0.0000
H 0.5851 0.5851 0.3616
H 0.7765 0.4149 0.0000
H 0.7765 0.7765 0.3616
Ir 0.5000 0.5000 0.0000

The 6 most intense peaks (2θ from 10° to 90°), in order of rising 2θ:
18.18 deg, d = 4.878 Å, rel. 68
28.63 deg, d = 3.118 Å, rel. 100
32.33 deg, d = 2.769 Å, rel. 34
37.35 deg, d = 2.408 Å, rel. 21
48.23 deg, d = 1.887 Å, rel. 23
55.42 deg, d = 1.658 Å, rel. 29

Entry 7:
AcPd6Pb12: theoretical X-ray powder pattern (CuKα), based on a DFT-relaxed cell (GGA-PBE, Alexandria).
Kinematic intensities with the Lorentz-polarization factor, no thermal factor.

Crystal structure
a = 8.4170 Å, b = 8.4170 Å, c = 8.4170 Å
α = 106.39°, β = 106.39°, γ = 106.39°
Fractional coordinates of all 19 atoms:
Ac 0.0000 0.0000 0.0000
Pd 0.2771 0.2771 0.7095
Pd 0.2771 0.7095 0.2771
Pd 0.2905 0.7229 0.7229
Pd 0.7095 0.2771 0.2771
Pd 0.7229 0.2905 0.7229
Pd 0.7229 0.7229 0.2905
Pb 0.1212 0.5000 0.8788
Pb 0.1212 0.8788 0.5000
Pb 0.1514 0.4089 0.4089
Pb 0.4089 0.1514 0.4089
Pb 0.4089 0.4089 0.1514
Pb 0.5000 0.1212 0.8788
Pb 0.5000 0.8788 0.1212
Pb 0.5911 0.5911 0.8486
Pb 0.5911 0.8486 0.5911
Pb 0.8486 0.5911 0.5911
Pb 0.8788 0.1212 0.5000
Pb 0.8788 0.5000 0.1212

The 6 most intense peaks (2θ from 10° to 90°), in order of rising 2θ:
29.10 deg, d = 3.068 Å, rel. 100
30.87 deg, d = 2.896 Å, rel. 54
34.77 deg, d = 2.580 Å, rel. 32
36.30 deg, d = 2.475 Å, rel. 41
40.56 deg, d = 2.224 Å, rel. 24
43.07 deg, d = 2.100 Å, rel. 46